Starting from a structure optimized by DFT (GGA-PBE), the X-ray powder pattern of Nd5Dy2Er6 was computed for Cu Kα (λ = 1.5418 Å).
No peak broadening, texture or thermal motion is included.

Main lines, by angle (5° ≤ 2θ ≤ 70°):
31.06 deg, I = 69
31.38 deg, I = 56
31.49 deg, I = 66
32.09 deg, I = 100
34.17 deg, I = 40
35.00 deg, I = 22
36.56 deg, I = 37
50.88 deg, I = 24
56.90 deg, I = 26
60.82 deg, I = 25

Cell: 11.632 20.509 3.590 Å, 90.00 90.00 90.00°
Space group Pbam (No. 55)
Symmetry-distinct sites (fractional):
1 Nd 0.000 0.000 0.000 (multiplicity 2)
2 Nd 0.083 0.273 0.000 (multiplicity 4)
3 Nd 0.199 0.550 0.000 (multiplicity 4)
4 Dy 0.172 0.711 0.500 (multiplicity 4)
5 Er 0.062 0.419 0.500 (multiplicity 4)
6 Er 0.080 0.132 0.500 (multiplicity 4)
7 Er 0.176 0.862 0.000 (multiplicity 4)


Starting from a structure optimized by DFT (GGA-PBE), the X-ray powder pattern of Nd5Dy3Er2 was computed for Cu Kα (λ = 1.5418 Å).
No peak broadening, texture or thermal motion is included.

Main lines, by angle (5° ≤ 2θ ≤ 70°):
29.42 deg, I = 95
31.10 deg, I = 100
31.99 deg, I = 22
33.45 deg, I = 46
33.91 deg, I = 19
35.91 deg, I = 25
48.83 deg, I = 22
60.49 deg, I = 23
62.62 deg, I = 26
69.14 deg, I = 17

Cell: 10.714 14.886 10.031 Å, 90.00 122.24 90.00°
Space group C2/c (No. 15)
Symmetry-distinct sites (fractional):
1 Nd 0.000 0.019 0.250 (multiplicity 4)
2 Nd 0.000 0.228 0.250 (multiplicity 4)
3 Nd 0.000 0.478 0.750 (multiplicity 4)
4 Nd 0.247 0.370 0.241 (multiplicity 8)
5 Dy 0.000 0.272 0.750 (multiplicity 4)
6 Dy 0.155 0.375 0.557 (multiplicity 8)
7 Er 0.153 0.128 0.058 (multiplicity 8)


Starting from a structure optimized by DFT (GGA-PBE), the X-ray powder pattern of Nd3Dy2Er8 was computed for Cu Kα (λ = 1.5418 Å).
No peak broadening, texture or thermal motion is included.

Main lines, by angle (5° ≤ 2θ ≤ 70°):
8.02 deg, I = 1
30.81 deg, I = 33
30.85 deg, I = 100
35.76 deg, I = 68
51.47 deg, I = 48
61.17 deg, I = 19
61.23 deg, I = 38
64.21 deg, I = 8
64.29 deg, I = 8

Cell: 6.150 6.155 11.223 Å, 89.92 79.44 80.39°
Space group P-1 (No. 2)
Symmetry-distinct sites (fractional):
1 Nd 0.000 0.000 0.000 (multiplicity 1)
2 Nd 0.231 0.462 0.079 (multiplicity 2)
3 Dy 0.385 0.769 0.462 (multiplicity 2)
4 Er 0.077 0.152 0.689 (multiplicity 2)
5 Er 0.154 0.308 0.387 (multiplicity 2)
6 Er 0.308 0.612 0.765 (multiplicity 2)
7 Er 0.463 0.925 0.158 (multiplicity 2)


Starting from a structure optimized by DFT (GGA-PBE), the X-ray powder pattern of Nd5Dy3Er was computed for Cu Kα (λ = 1.5418 Å).
No peak broadening, texture or thermal motion is included.

Main lines, by angle (5° ≤ 2θ ≤ 70°):
28.39 deg, I = 89
29.18 deg, I = 93
29.88 deg, I = 70
30.28 deg, I = 60
31.90 deg, I = 99
32.63 deg, I = 58
33.65 deg, I = 100
39.65 deg, I = 42
52.27 deg, I = 41
54.06 deg, I = 38

Cell: 20.134 6.304 11.803 Å, 90.00 123.27 90.00°
Space group C2/c (No. 15)
Symmetry-distinct sites (fractional):
1 Nd 0.000 0.095 0.250 (multiplicity 4)
2 Nd 0.136 0.165 0.657 (multiplicity 8)
3 Nd 0.180 0.327 0.330 (multiplicity 8)
4 Dy 0.000 0.500 0.000 (multiplicity 4)
5 Dy 0.176 0.282 0.027 (multiplicity 8)
6 Er 0.000 0.396 0.750 (multiplicity 4)


Starting from a structure optimized by DFT (GGA-PBE), the X-ray powder pattern of Nd4Dy5Er2 was computed for Cu Kα (λ = 1.5418 Å).
No peak broadening, texture or thermal motion is included.

Main lines, by angle (5° ≤ 2θ ≤ 70°):
30.86 deg, I = 35
31.07 deg, I = 25
31.39 deg, I = 100
31.50 deg, I = 86
31.62 deg, I = 59
44.77 deg, I = 25
45.36 deg, I = 15
56.17 deg, I = 20
56.24 deg, I = 17
56.34 deg, I = 17

Cell: 19.173 5.659 6.648 Å, 90.00 90.89 90.00°
Space group C2/m (No. 12)
Symmetry-distinct sites (fractional):
1 Nd 0.019 0.000 0.288 (multiplicity 4)
2 Nd 0.194 0.500 0.071 (multiplicity 4)
3 Dy 0.000 0.500 0.000 (multiplicity 2)
4 Dy 0.130 0.000 0.891 (multiplicity 4)
5 Dy 0.208 0.000 0.403 (multiplicity 4)
6 Er 0.098 0.500 0.554 (multiplicity 4)


Starting from a structure optimized by DFT (GGA-PBE), the X-ray powder pattern of NdDy3Er2 was computed for Cu Kα (λ = 1.5418 Å).
No peak broadening, texture or thermal motion is included.

Main lines, by angle (5° ≤ 2θ ≤ 70°):
30.84 deg, I = 100
35.76 deg, I = 51
51.46 deg, I = 36
61.19 deg, I = 32
61.25 deg, I = 11
64.25 deg, I = 12

Cell: 17.408 7.101 6.148 Å, 90.00 90.09 90.00°
Space group C2/c (No. 15)
Symmetry-distinct sites (fractional):
1 Nd 0.000 0.126 0.250 (multiplicity 4)
2 Dy 0.000 0.376 0.750 (multiplicity 4)
3 Dy 0.168 0.126 0.915 (multiplicity 8)
4 Er 0.167 0.376 0.417 (multiplicity 8)